(1)
Structure and calculated powder diffraction line list of AlV2Os (the PBE geometry in Alexandria; Cu Kα, 1.54184 Å).
Lines closer than 0.1° are merged.

Crystal structure
```
4
Lattice="-1.520 2.088 4.343 1.520 -2.088 4.343 1.520 2.088 -4.343" Properties=species:S:1:pos:R:3 pbc="T T T"
Al 0.000 0.000 0.000
V 1.520 0.000 2.269
V 0.000 2.088 2.074
Os 0.000 0.000 4.343
```

Top 12 peaks for 10° ≤ 2θ ≤ 90°, in order of rising 2θ:
2theta  d (Å)  I (rel.)
20.45  4.343  20.3
23.64  3.764  64.3
31.17  2.870  27.1
37.81  2.379  13.5
41.59  2.172  25.7
42.25  2.139  100.0
43.14  2.097  15.9
43.33  2.088  23.4
54.33  1.688  11.8
61.62  1.505  15.6
76.34  1.247  16.0
78.75  1.215  15.5


(2)
Structure and calculated powder diffraction line list of Pm6YGe4 (the PBE geometry in Alexandria; Cu Kα, 1.54184 Å).
Lines closer than 0.1° are merged.

Crystal structure
```
11
Lattice="9.315 0.000 0.000 -4.657 8.067 0.000 0.000 0.000 4.079" Properties=species:S:1:pos:R:3 pbc="T T T"
Pm 0.000 3.156 0.000
Pm -1.924 6.489 0.000
Pm 4.657 0.671 2.040
Pm 2.909 3.698 2.040
Pm 1.924 6.489 0.000
Pm 6.405 3.698 2.040
Y 0.000 0.000 2.040
Ge 2.268 1.309 0.000
Ge 0.000 5.378 2.040
Ge 7.047 1.309 0.000
Ge 4.657 5.448 0.000
```

Top 12 peaks for 10° ≤ 2θ ≤ 90°, in order of rising 2θ:
2theta  d (Å)  I (rel.)
24.45  3.640  21.7
29.10  3.069  19.0
29.29  3.049  21.7
31.18  2.868  100.0
33.32  2.689  43.3
36.80  2.442  54.3
38.67  2.329  36.7
44.41  2.040  19.9
54.44  1.685  20.2
56.64  1.625  19.1
60.32  1.534  19.7
61.84  1.500  16.6


(3)
Structure and calculated powder diffraction line list of Yb4Sc4Sb4O (the PBE geometry in Alexandria; Cu Kα, 1.54184 Å).
Lines closer than 0.1° are merged.

Crystal structure
```
13
Lattice="4.453 0.000 0.000 0.000 4.453 0.000 0.000 0.000 16.158" Properties=species:S:1:pos:R:3 pbc="T T T"
Yb 0.000 0.000 2.714
Yb 0.000 0.000 13.443
Yb 2.226 2.226 5.328
Yb 2.226 2.226 10.830
Sc 0.000 2.226 0.000
Sc 0.000 2.226 8.079
Sc 2.226 0.000 0.000
Sc 2.226 0.000 8.079
Sb 0.000 0.000 5.934
Sb 0.000 0.000 10.223
Sb 2.226 2.226 2.115
Sb 2.226 2.226 14.043
O 2.226 2.226 8.079
```

Top 12 peaks for 10° ≤ 2θ ≤ 90°, in order of rising 2θ:
2theta  d (Å)  I (rel.)
22.00  4.039  31.1
28.35  3.149  100.0
30.47  2.934  52.8
33.27  2.693  32.7
34.29  2.615  53.5
36.17  2.483  93.2
40.52  2.226  70.6
44.26  2.047  25.8
53.40  1.716  33.4
54.10  1.695  28.8
58.64  1.574  23.4
70.87  1.330  25.1


(4)
Structure and calculated powder diffraction line list of TmThSn6 (the PBE geometry in Alexandria; Cu Kα, 1.54184 Å).
Lines closer than 0.1° are merged.

Crystal structure
```
8
Lattice="4.734 0.000 0.000 0.000 4.734 0.000 0.000 0.000 9.396" Properties=species:S:1:pos:R:3 pbc="T T T"
Tm 0.000 0.000 0.000
Th 0.000 0.000 4.698
Sn 0.000 2.367 2.294
Sn 0.000 2.367 7.102
Sn 2.367 0.000 2.294
Sn 2.367 0.000 7.102
Sn 2.367 2.367 0.000
Sn 2.367 2.367 4.698
```

Top 12 peaks for 10° ≤ 2θ ≤ 90°, in order of rising 2θ:
2theta  d (Å)  I (rel.)
18.74  4.734  3.4
26.73  3.335  2.9
32.85  2.726  100.0
38.01  2.367  34.0
38.32  2.349  16.5
54.85  1.674  12.1
55.08  1.667  23.6
65.43  1.426  28.8
65.84  1.418  13.9
68.88  1.363  12.3
81.29  1.184  4.1
82.05  1.174  1.9


(5)
Structure and calculated powder diffraction line list of La5RuRh (the PBE geometry in Alexandria; Cu Kα, 1.54184 Å).
Lines closer than 0.1° are merged.

Crystal structure
```
14
Lattice="6.305 0.000 0.000 -1.475 7.206 0.000 -2.864 -1.213 9.815" Properties=species:S:1:pos:R:3 pbc="T T T"
La 0.000 0.000 0.000
La -3.045 2.423 8.932
La 0.052 -0.350 4.088
La -0.129 3.287 3.206
La -0.475 3.605 6.861
La 0.554 0.010 7.955
La 1.684 6.791 2.150
La 3.017 3.699 1.054
La 2.761 2.063 5.064
La 2.317 5.675 6.162
Ru -0.805 5.246 1.603
Ru -1.494 1.038 6.509
Rh -1.439 4.727 9.307
Rh 3.270 4.552 3.710
```

Top 12 peaks for 10° ≤ 2θ ≤ 90°, in order of rising 2θ:
2theta  d (Å)  I (rel.)
26.86  3.319  29.8
27.13  3.286  32.4
28.09  3.176  36.4
28.91  3.088  72.2
29.74  3.005  100.0
31.19  2.868  38.7
32.03  2.794  33.8
32.73  2.736  41.4
32.97  2.717  28.6
34.39  2.608  31.8
40.80  2.212  27.0
46.45  1.955  27.8


(6)
Structure and calculated powder diffraction line list of CePrHo2Er4 (the PBE geometry in Alexandria; Cu Kα, 1.54184 Å).
Lines closer than 0.1° are merged.

Crystal structure
```
8
Lattice="5.019 0.000 0.000 0.000 5.037 0.000 0.000 0.000 9.934" Properties=species:S:1:pos:R:3 pbc="T T T"
Ce 0.000 0.000 0.000
Pr 2.510 2.518 4.967
Ho 0.000 0.000 4.967
Ho 2.510 2.518 0.000
Er 0.000 2.518 2.440
Er 0.000 2.518 7.494
Er 2.510 0.000 2.444
Er 2.510 0.000 7.490
```

Top 12 peaks for 10° ≤ 2θ ≤ 90°, in order of rising 2θ:
2theta  d (Å)  I (rel.)
30.93  2.891  100.0
35.65  2.518  17.2
35.78  2.510  17.0
36.17  2.483  16.4
51.40  1.778  12.2
51.74  1.767  23.7
61.12  1.516  14.4
61.29  1.512  14.3
61.81  1.501  13.8
64.46  1.445  12.3
83.94  1.153  6.0
84.40  1.148  5.9


(7)
Structure and calculated powder diffraction line list of Nd2Zn7Ru (the PBE geometry in Alexandria; Cu Kα, 1.54184 Å).
Lines closer than 0.1° are merged.

Crystal structure
```
10
Lattice="4.113 0.000 0.000 0.000 4.113 0.000 0.000 0.000 11.126" Properties=species:S:1:pos:R:3 pbc="T T T"
Nd 0.000 2.057 2.674
Nd 2.057 0.000 8.451
Zn 0.000 0.000 0.000
Zn 0.000 0.000 5.563
Zn 0.000 2.057 7.108
Zn 0.000 2.057 9.623
Zn 2.057 0.000 1.503
Zn 2.057 0.000 4.018
Zn 2.057 2.057 5.563
Ru 2.057 2.057 0.000
```

Top 12 peaks for 10° ≤ 2θ ≤ 90°, in order of rising 2θ:
2theta  d (Å)  I (rel.)
30.74  2.909  10.9
32.51  2.754  54.7
34.81  2.578  100.0
44.03  2.057  48.8
45.10  2.010  10.8
46.39  1.957  30.6
55.78  1.648  23.1
59.08  1.564  10.9
64.02  1.454  15.4
65.88  1.418  20.7
74.98  1.267  20.3
84.00  1.152  11.5


(8)
Structure and calculated powder diffraction line list of Zr2In2HPd (the PBE geometry in Alexandria; Cu Kα, 1.54184 Å).
Lines closer than 0.1° are merged.

Crystal structure
```
12
Lattice="-3.433 6.078 2.792 3.433 -6.078 2.792 3.433 6.078 -2.792" Properties=species:S:1:pos:R:3 pbc="T T T"
Zr 1.205 0.964 0.000
Zr 1.205 -0.964 2.792
Zr 2.228 7.042 0.000
Zr 2.228 5.114 2.792
In 4.892 2.111 0.000
In 1.460 3.967 0.000
In 1.973 2.111 2.792
In -1.460 3.967 2.792
H 0.000 0.000 1.396
H 0.000 0.000 4.188
Pd 3.433 0.000 1.396
Pd 0.000 6.078 1.396
```

Top 12 peaks for 10° ≤ 2θ ≤ 90°, in order of rising 2θ:
2theta  d (Å)  I (rel.)
25.96  3.433  19.5
29.89  2.989  17.9
31.47  2.843  29.9
32.06  2.792  25.0
35.49  2.530  19.0
36.10  2.488  100.0
39.61  2.275  14.7
41.42  2.180  14.2
41.70  2.166  45.6
44.04  2.056  14.9
59.80  1.546  22.1
65.20  1.431  16.1


(9)
Structure and calculated powder diffraction line list of As3Au (the PBE geometry in Alexandria; Cu Kα, 1.54184 Å).
Lines closer than 0.1° are merged.

Crystal structure
```
4
Lattice="-1.927 1.927 5.391 1.927 -1.927 5.391 1.927 1.927 -5.391" Properties=species:S:1:pos:R:3 pbc="T T T"
As 0.000 0.000 0.000
As 0.000 0.000 2.755
As 0.000 0.000 8.028
Au 0.000 0.000 5.391
```

Top 12 peaks for 10° ≤ 2θ ≤ 90°, in order of rising 2θ:
2theta  d (Å)  I (rel.)
16.44  5.391  19.3
24.53  3.630  34.6
32.86  2.726  100.0
33.24  2.696  48.2
47.16  1.927  36.5
47.44  1.917  71.2
58.91  1.568  37.2
78.46  1.219  16.5
78.67  1.216  16.2
79.30  1.208  15.6
87.91  1.111  25.4
88.54  1.104  13.9


(10)
Structure and calculated powder diffraction line list of ThSc4Ag5 (the PBE geometry in Alexandria; Cu Kα, 1.54184 Å).
Lines closer than 0.1° are merged.

Crystal structure
```
10
Lattice="3.431 0.000 0.000 0.000 3.431 0.000 0.000 0.000 18.117" Properties=species:S:1:pos:R:3 pbc="T T T"
Th 0.000 0.000 0.000
Sc 0.000 0.000 3.885
Sc 0.000 0.000 7.332
Sc 0.000 0.000 10.785
Sc 0.000 0.000 14.231
Ag 1.715 1.715 2.244
Ag 1.715 1.715 5.596
Ag 1.715 1.715 9.058
Ag 1.715 1.715 12.520
Ag 1.715 1.715 15.872
```

Top 12 peaks for 10° ≤ 2θ ≤ 90°, in order of rising 2θ:
2theta  d (Å)  I (rel.)
26.44  3.371  11.4
27.81  3.208  12.6
29.59  3.019  7.0
29.95  2.983  13.3
32.75  2.735  15.4
36.05  2.491  100.0
37.06  2.426  54.9
48.12  1.891  8.0
53.41  1.715  18.4
64.13  1.452  15.0
66.14  1.413  31.7
89.96  1.091  7.1